Diffraction record for V4S9Br4. The powder XRD pattern is calculated, not measured: it uses the PBE geometry in the Materials Project and Cu Ka.

Principal peaks in the range 15 to 90 degrees two-theta, in order of rising 2θ:
hkl 2 0 0, 2θ = 16.11°, rel. 89.9
hkl 3 1 0, 2θ = 25.60°, rel. 29.1
hkl 3 0 1, 2θ = 27.19°, rel. 55.3
hkl 2 0 2, 2θ = 29.27°, rel. 55.0
hkl 3 2 1, 2θ = 31.76°, rel. 100.0
hkl 3 3 0, 2θ = 34.59°, rel. 46.1
hkl 3 3 1, 2θ = 36.76°, rel. 52.5
hkl 4 1 2, 2θ = 41.87°, rel. 27.0
hkl 5 0 1, 2θ = 42.91°, rel. 48.1
hkl 5 0 2, 2θ = 48.23°, rel. 56.1

Atomic structure:
Cell lengths 11.0025, 11.0025, 7.3344 Å; angles 90.00, 90.00, 90.00 degrees
Space group P4/nmm (No. 129, origin choice 2)
One atom of each set of equivalent atoms:
V (0.1148, 0.1148, 0.1235) [8 per cell]
S (0.0383, 0.2500, 0.3489) [8 per cell]
S (0.0550, 0.7500, 0.8891) [8 per cell]
S (0.2500, 0.2500, 0.9770) [2 per cell]
Br (0.0512, 0.0512, 0.7899) [8 per cell]